No. 1
Diffraction record for Th3Co6Ge2. The XRD peak list is computed, not measured: it uses a structure optimized by DFT (GGA-PBE) and a wavelength of 1.5418 Å.

Cell and atoms:
abc: 7.7512 7.7512 7.7512
angles: 109.47 109.47 109.47
Sites, in units of the cell vectors:
1 Th 0.0000 0.2871 0.2871
2 Th 0.0000 0.7129 0.7129
3 Th 0.2871 0.0000 0.2871
4 Th 0.2871 0.2871 0.0000
5 Th 0.7129 0.0000 0.7129
6 Th 0.7129 0.7129 0.0000
7 Co 0.0000 0.3475 0.6525
8 Co 0.0000 0.6525 0.3475
9 Co 0.3051 0.6525 0.6525
10 Co 0.3475 0.0000 0.6525
11 Co 0.3475 0.3475 0.6949
12 Co 0.3475 0.6525 0.0000
13 Co 0.3475 0.6949 0.3475
14 Co 0.6525 0.0000 0.3475
15 Co 0.6525 0.3051 0.6525
16 Co 0.6525 0.3475 0.0000
17 Co 0.6525 0.6525 0.3051
18 Co 0.6949 0.3475 0.3475
19 Ge 0.0000 0.0000 0.5000
20 Ge 0.0000 0.5000 0.0000
21 Ge 0.5000 0.0000 0.0000
22 Ge 0.5000 0.5000 0.5000

Main lines, in order of falling intensity (10 to 90 degrees two-theta):
two_theta  I_rel
42.87  100.0
34.72  73.3
31.61  48.8
24.36  47.6
56.30  41.1
40.31  32.5
78.54  29.4
37.60  26.4
69.69  24.6
88.81  19.1

No. 2
Diffraction record for Na16Tl12Ag. The XRD peak list is computed, not measured: it uses a structure optimized by DFT (GGA-PBE) and a wavelength of 1.5418 Å.

Cell and atoms:
abc: 10.2758 10.2758 10.3328
angles: 109.37 109.37 108.85
Sites, in units of the cell vectors:
1 Na 0.0000 0.0000 0.0000
2 Na 0.0076 0.3177 0.5975
3 Na 0.0112 0.3546 0.0118
4 Na 0.0134 0.5993 0.3265
5 Na 0.0159 0.0159 0.3527
6 Na 0.2957 0.6911 0.7093
7 Na 0.3177 0.0076 0.5975
8 Na 0.3297 0.5813 0.9960
9 Na 0.3546 0.0112 0.0118
10 Na 0.4331 0.7338 0.4320
11 Na 0.5813 0.3297 0.9960
12 Na 0.5993 0.0134 0.3265
13 Na 0.6304 0.6304 0.6838
14 Na 0.6911 0.2957 0.7093
15 Na 0.7085 0.7085 0.3003
16 Na 0.7338 0.4331 0.4320
17 Tl 0.0118 0.8174 0.6355
18 Tl 0.0131 0.6285 0.8263
19 Tl 0.1963 0.1963 0.8234
20 Tl 0.1961 0.3919 0.3895
21 Tl 0.2098 0.8141 0.2025
22 Tl 0.3919 0.1961 0.3895
23 Tl 0.3930 0.3930 0.2057
24 Tl 0.6285 0.0131 0.8263
25 Tl 0.6377 0.8284 0.0255
26 Tl 0.8141 0.2098 0.2025
27 Tl 0.8174 0.0118 0.6355
28 Tl 0.8284 0.6377 0.0255
29 Ag 0.3448 0.3448 0.6678

Main lines, in order of falling intensity (10 to 90 degrees two-theta):
two_theta  I_rel
18.23  100.0
18.32  92.2
18.07  71.1
35.45  66.0
31.81  55.4
31.98  53.8
35.28  49.7
34.95  43.5
31.67  36.7
38.46  36.4

No. 3
Diffraction record for Pm12CoPt6. The XRD peak list is computed, not measured: it uses a structure optimized by DFT (GGA-PBE) and a wavelength of 1.5418 Å.

Cell and atoms:
abc: 8.3599 8.3599 8.3599
angles: 98.93 98.93 98.93
Sites, in units of the cell vectors:
1 Pm 0.0419 0.6848 0.9307
2 Pm 0.0693 0.9581 0.3152
3 Pm 0.1779 0.4234 0.5852
4 Pm 0.3152 0.0693 0.9581
5 Pm 0.4148 0.8221 0.5766
6 Pm 0.4234 0.5852 0.1779
7 Pm 0.5766 0.4148 0.8221
8 Pm 0.5852 0.1779 0.4234
9 Pm 0.6848 0.9307 0.0419
10 Pm 0.8221 0.5766 0.4148
11 Pm 0.9307 0.0419 0.6848
12 Pm 0.9581 0.3152 0.0693
13 Co 0.0000 0.0000 0.0000
14 Pt 0.1337 0.6179 0.3063
15 Pt 0.3063 0.1337 0.6179
16 Pt 0.3821 0.6937 0.8663
17 Pt 0.6179 0.3063 0.1337
18 Pt 0.6937 0.8663 0.3821
19 Pt 0.8663 0.3821 0.6937

Main lines, in order of falling intensity (10 to 90 degrees two-theta):
two_theta  I_rel
37.45  100.0
36.89  98.2
22.62  88.4
32.91  38.6
30.83  36.5
53.58  24.3
22.18  22.1
13.94  19.1
43.95  18.3
28.09  16.9

What did the first record say?
Diffraction record for Th3Co6Ge2. The XRD peak list is computed, not measured: it uses a structure optimized by DFT (GGA-PBE) and a wavelength of 1.5418 Å.

Cell and atoms:
abc: 7.7512 7.7512 7.7512
angles: 109.47 109.47 109.47
Sites, in units of the cell vectors:
1 Th 0.0000 0.2871 0.2871
2 Th 0.0000 0.7129 0.7129
3 Th 0.2871 0.0000 0.2871
4 Th 0.2871 0.2871 0.0000
5 Th 0.7129 0.0000 0.7129
6 Th 0.7129 0.7129 0.0000
7 Co 0.0000 0.3475 0.6525
8 Co 0.0000 0.6525 0.3475
9 Co 0.3051 0.6525 0.6525
10 Co 0.3475 0.0000 0.6525
11 Co 0.3475 0.3475 0.6949
12 Co 0.3475 0.6525 0.0000
13 Co 0.3475 0.6949 0.3475
14 Co 0.6525 0.0000 0.3475
15 Co 0.6525 0.3051 0.6525
16 Co 0.6525 0.3475 0.0000
17 Co 0.6525 0.6525 0.3051
18 Co 0.6949 0.3475 0.3475
19 Ge 0.0000 0.0000 0.5000
20 Ge 0.0000 0.5000 0.0000
21 Ge 0.5000 0.0000 0.0000
22 Ge 0.5000 0.5000 0.5000

Main lines, in order of falling intensity (10 to 90 degrees two-theta):
two_theta  I_rel
42.87  100.0
34.72  73.3
31.61  48.8
24.36  47.6
56.30  41.1
40.31  32.5
78.54  29.4
37.60  26.4
69.69  24.6
88.81  19.1